Structure and simulated XRD peak list of CeFeH6Pd (a DFT-relaxed cell (PBE, Alexandria); Cu Kα (weighted mean of Kα1 and Kα2)).
No peak broadening, texture or thermal motion is included.

Main lines, in order of falling intensity (15 to 90 degrees two-theta):
2θ = 30.8°, rel. 100.0; 2θ = 39.3°, rel. 46.0; 2θ = 59.2°, rel. 27.7; 2θ = 50.7°, rel. 24.5; 2θ = 66.0°, rel. 21.7; 2θ = 42.4°, rel. 12.0; 2θ = 86.6°, rel. 9.4; 2θ = 22.4°, rel. 9.1

Crystal structure
a b c (Å): 4.584 4.584 4.266
angles (deg): 90.00 90.00 120.00
Element x y z (fractional)
Ce 0.000 0.000 0.000
Fe 0.667 0.333 0.500
H 0.517 0.034 0.235
H 0.517 0.034 0.765
H 0.517 0.483 0.235
H 0.517 0.483 0.765
H 0.966 0.483 0.235
H 0.966 0.483 0.765
Pd 0.333 0.667 0.500


Structure and simulated XRD peak list of CeFe2SnH8 (a DFT-relaxed cell (PBE, Alexandria); Cu Kα (weighted mean of Kα1 and Kα2)).
No peak broadening, texture or thermal motion is included.

Main lines, in order of falling intensity (15 to 90 degrees two-theta):
2θ = 30.8°, rel. 100.0; 2θ = 38.5°, rel. 95.5; 2θ = 51.0°, rel. 56.4; 2θ = 24.4°, rel. 56.0; 2θ = 32.2°, rel. 33.8; 2θ = 50.1°, rel. 26.6; 2θ = 60.0°, rel. 26.3; 2θ = 64.9°, rel. 24.4

Crystal structure
a b c (Å): 6.182 6.182 6.182
angles (deg): 44.46 44.46 44.46
Element x y z (fractional)
Ce 0.000 0.000 0.000
Fe 0.197 0.197 0.197
Fe 0.803 0.803 0.803
Sn 0.500 0.500 0.500
H 0.020 0.020 0.608
H 0.020 0.608 0.020
H 0.295 0.295 0.295
H 0.392 0.980 0.980
H 0.608 0.020 0.020
H 0.705 0.705 0.705
H 0.980 0.392 0.980
H 0.980 0.980 0.392